Record 1
Diffraction record for TbLuPbC. The X-ray diffraction stick pattern is theoretical, not measured: it uses a GGA-PBE-relaxed structure and a wavelength of 1.5418 Å.
Kinematic intensities with the Lorentz-polarization factor, no thermal factor.

Atomic structure:
a = 3.6019 Å, b = 3.6019 Å, c = 15.9830 Å
α = 90.00°, β = 90.00°, γ = 120.00°
Space group P-3m1 (No. 164)
Symmetry-distinct sites (fractional):
Tb 0.3333 0.6667 0.0844
Lu 0.3333 0.6667 0.4201
Pb 0.3333 0.6667 0.7457
C 0.0000 0.0000 0.0000
C 0.0000 0.0000 0.5000

Largest 12 diffraction maxima, by intensity, 10 to 80 degrees two-theta:
- 33.3°, d 2.692, I 100, hkl 1 0 3
- 28.6°, d 3.119, I 23, hkl 1 0 0
- 62.2°, d 1.492, I 22, hkl 1 1 6
- 50.7°, d 1.801, I 21, hkl 1 1 0
- 33.6°, d 2.664, I 20, hkl 0 0 6
- 59.9°, d 1.543, I 18, hkl 1 0 9
- 62.0°, d 1.497, I 17, hkl 0 2 3
- 44.7°, d 2.026, I 16, hkl 0 1 6
- 69.9°, d 1.346, I 4, hkl 2 0 6
- 59.2°, d 1.560, I 3, hkl 2 0 0
- 78.0°, d 1.225, I 3, hkl 0 1 12
- 70.7°, d 1.332, I 2, hkl 0 0 12

Record 2
Diffraction record for Lu2ReC2. The X-ray diffraction stick pattern is theoretical, not measured: it uses a GGA-PBE-relaxed structure and a wavelength of 1.5418 Å.
Kinematic intensities with the Lorentz-polarization factor, no thermal factor.

Atomic structure:
a = 6.471 Å, b = 4.969 Å, c = 9.661 Å
α = 90.00°, β = 90.00°, γ = 90.00°
Space group Pnma (No. 62)
Symmetry-distinct sites (fractional):
Lu 0.035 0.250 0.218
Lu 0.177 0.250 0.558
Re 0.216 0.250 0.871
C 0.051 0.750 0.241
C 0.171 0.750 0.557

Largest 12 diffraction maxima, by intensity, 10 to 80 degrees two-theta:
- 34.4°, d 2.611, I 100, hkl 2 1 1
- 33.1°, d 2.703, I 94, hkl 0 1 3
- 36.2°, d 2.485, I 73, hkl 0 2 0
- 36.0°, d 2.494, I 49, hkl 1 1 3
- 33.0°, d 2.711, I 45, hkl 2 1 0
- 33.3°, d 2.688, I 30, hkl 2 0 2
- 63.1°, d 1.473, I 23, hkl 0 3 3
- 39.5°, d 2.283, I 23, hkl 2 0 3
- 31.0°, d 2.883, I 20, hkl 1 0 3
- 50.0°, d 1.825, I 19, hkl 2 2 2
- 46.9°, d 1.936, I 18, hkl 2 0 4
- 54.6°, d 1.681, I 18, hkl 2 2 3

Record 3
Diffraction record for LuScCS. The X-ray diffraction stick pattern is theoretical, not measured: it uses a GGA-PBE-relaxed structure and a wavelength of 1.5418 Å.
Kinematic intensities with the Lorentz-polarization factor, no thermal factor.

Atomic structure:
a = 3.5311 Å, b = 3.5311 Å, c = 12.2448 Å
α = 90.00°, β = 90.00°, γ = 120.00°
Space group P-6m2 (No. 187)
Symmetry-distinct sites (fractional):
Lu 0.0000 0.0000 0.1518
Sc 0.3333 0.6667 0.3573
C 0.6667 0.3333 0.2574
S 0.0000 0.0000 0.5000
S 0.3333 0.6667 0.0000

Largest 12 diffraction maxima, by intensity, 10 to 80 degrees two-theta:
- 36.7°, d 2.447, I 100, hkl 1 0 3
- 29.2°, d 3.059, I 60, hkl 1 0 0
- 30.1°, d 2.967, I 29, hkl 1 0 1
- 51.8°, d 1.766, I 26, hkl 1 1 0
- 41.8°, d 2.163, I 20, hkl 1 0 4
- 21.8°, d 4.082, I 20, hkl 0 0 3
- 65.2°, d 1.432, I 18, hkl 2 0 3
- 54.0°, d 1.697, I 18, hkl 1 0 6
- 60.5°, d 1.529, I 17, hkl 2 0 0
- 61.0°, d 1.518, I 16, hkl 1 0 7
- 70.5°, d 1.335, I 12, hkl 1 1 6
- 56.8°, d 1.620, I 10, hkl 1 1 3

Record 4
Diffraction record for Lu4C2SeS. The X-ray diffraction stick pattern is theoretical, not measured: it uses a GGA-PBE-relaxed structure and a wavelength of 1.5418 Å.
Kinematic intensities with the Lorentz-polarization factor, no thermal factor.

Atomic structure:
a = 3.6345 Å, b = 3.6345 Å, c = 12.7330 Å
α = 90.00°, β = 90.00°, γ = 120.00°
Space group P-6m2 (No. 187)
Symmetry-distinct sites (fractional):
Lu 0.0000 0.0000 0.1444
Lu 0.3333 0.6667 0.3460
C 0.6667 0.3333 0.2453
Se 0.0000 0.0000 0.5000
S 0.3333 0.6667 0.0000

Largest 12 diffraction maxima, by intensity, 10 to 80 degrees two-theta:
- 35.5°, d 2.528, I 100, hkl 1 0 3
- 28.4°, d 3.148, I 30, hkl 1 0 0
- 50.2°, d 1.817, I 29, hkl 1 1 0
- 29.2°, d 3.056, I 25, hkl 1 0 1
- 63.0°, d 1.476, I 19, hkl 2 0 3
- 58.6°, d 1.575, I 16, hkl 1 0 7
- 67.9°, d 1.380, I 14, hkl 1 1 6
- 28.0°, d 3.183, I 13, hkl 0 0 4
- 58.5°, d 1.578, I 11, hkl 1 1 4
- 40.3°, d 2.238, I 10, hkl 1 0 4
- 42.6°, d 2.122, I 9, hkl 0 0 6
- 52.0°, d 1.760, I 9, hkl 1 0 6

Record 5
Diffraction record for TbLu3C2S2. The X-ray diffraction stick pattern is theoretical, not measured: it uses a GGA-PBE-relaxed structure and a wavelength of 1.5418 Å.
Kinematic intensities with the Lorentz-polarization factor, no thermal factor.

Atomic structure:
a = 3.6378 Å, b = 3.6378 Å, c = 12.6569 Å
α = 90.00°, β = 90.00°, γ = 120.00°
Space group P3m1 (No. 156)
Symmetry-distinct sites (fractional):
Tb 0.0000 0.0000 0.0000
Lu 0.0000 0.0000 0.7038
Lu 0.3333 0.6667 0.2101
Lu 0.3333 0.6667 0.5008
C 0.6667 0.3333 0.1077
C 0.6667 0.3333 0.6015
S 0.0000 0.0000 0.3543
S 0.3333 0.6667 0.8470

Largest 12 diffraction maxima, by intensity, 10 to 80 degrees two-theta:
- 35.6°, d 2.524, I 100, hkl 1 0 3
- 29.2°, d 3.057, I 40, hkl 1 0 1
- 28.3°, d 3.150, I 31, hkl 1 0 0
- 50.2°, d 1.819, I 30, hkl 1 1 0
- 58.5°, d 1.577, I 21, hkl 1 1 4
- 28.2°, d 3.164, I 20, hkl 0 0 4
- 63.0°, d 1.476, I 19, hkl 0 2 3
- 58.9°, d 1.568, I 18, hkl 1 0 7
- 40.4°, d 2.233, I 15, hkl 0 1 4
- 68.1°, d 1.378, I 12, hkl 1 1 6
- 14.0°, d 6.328, I 8, hkl 0 0 2
- 52.2°, d 1.753, I 8, hkl 0 1 6

Record 6
Diffraction record for TmLuCS. The X-ray diffraction stick pattern is theoretical, not measured: it uses a GGA-PBE-relaxed structure and a wavelength of 1.5418 Å.
Kinematic intensities with the Lorentz-polarization factor, no thermal factor.

Atomic structure:
a = 3.6257 Å, b = 3.6257 Å, c = 12.6066 Å
α = 90.00°, β = 90.00°, γ = 120.00°
Space group P-3m1 (No. 164)
Symmetry-distinct sites (fractional):
Tm 0.3333 0.6667 0.3960
Lu 0.3333 0.6667 0.1024
C 0.0000 0.0000 0.0000
C 0.0000 0.0000 0.5000
S 0.3333 0.6667 0.7513

Largest 12 diffraction maxima, by intensity, 10 to 80 degrees two-theta:
- 35.7°, d 2.515, I 100, hkl 1 0 3
- 29.3°, d 3.047, I 40, hkl 1 0 1
- 28.4°, d 3.140, I 31, hkl 1 0 0
- 50.3°, d 1.813, I 30, hkl 1 1 0
- 58.8°, d 1.571, I 21, hkl 1 1 4
- 28.3°, d 3.152, I 20, hkl 0 0 4
- 63.2°, d 1.471, I 19, hkl 0 2 3
- 59.1°, d 1.562, I 18, hkl 1 0 7
- 40.6°, d 2.224, I 15, hkl 0 1 4
- 68.3°, d 1.373, I 12, hkl 1 1 6
- 52.4°, d 1.746, I 8, hkl 0 1 6
- 14.1°, d 6.303, I 8, hkl 0 0 2

Record 7
Diffraction record for Lu3ZrC2S2. The X-ray diffraction stick pattern is theoretical, not measured: it uses a GGA-PBE-relaxed structure and a wavelength of 1.5418 Å.
Kinematic intensities with the Lorentz-polarization factor, no thermal factor.

Atomic structure:
a = 3.5533 Å, b = 3.5533 Å, c = 12.4582 Å
α = 90.00°, β = 90.00°, γ = 120.00°
Space group P3m1 (No. 156)
Symmetry-distinct sites (fractional):
Lu 0.0000 0.0000 0.0000
Lu 0.0000 0.0000 0.2949
Lu 0.3333 0.6667 0.7927
Zr 0.3333 0.6667 0.4985
C 0.6667 0.3333 0.4032
C 0.6667 0.3333 0.8949
S 0.0000 0.0000 0.6400
S 0.3333 0.6667 0.1487

Largest 12 diffraction maxima, by intensity, 10 to 80 degrees two-theta:
- 36.3°, d 2.472, I 100, hkl 0 1 3
- 29.9°, d 2.987, I 40, hkl 1 0 1
- 29.0°, d 3.077, I 31, hkl 1 0 0
- 51.4°, d 1.777, I 29, hkl 1 1 0
- 60.1°, d 1.540, I 21, hkl 0 1 7
- 28.7°, d 3.115, I 19, hkl 0 0 4
- 64.6°, d 1.443, I 18, hkl 2 0 3
- 59.9°, d 1.543, I 15, hkl 1 1 4
- 41.2°, d 2.189, I 15, hkl 0 1 4
- 69.7°, d 1.350, I 12, hkl 1 1 6
- 14.2°, d 6.229, I 10, hkl 0 0 2
- 53.2°, d 1.721, I 9, hkl 1 0 6

Record 8
Diffraction record for Lu4SiSbC2. The X-ray diffraction stick pattern is theoretical, not measured: it uses a GGA-PBE-relaxed structure and a wavelength of 1.5418 Å.
Kinematic intensities with the Lorentz-polarization factor, no thermal factor.

Atomic structure:
a = 3.5327 Å, b = 3.5327 Å, c = 14.5757 Å
α = 90.00°, β = 90.00°, γ = 120.00°
Space group P-6m2 (No. 187)
Symmetry-distinct sites (fractional):
Lu 0.0000 0.0000 0.1511
Lu 0.3333 0.6667 0.3288
Si 0.3333 0.6667 0.0000
Sb 0.0000 0.0000 0.5000
C 0.6667 0.3333 0.2445

Largest 12 diffraction maxima, by intensity, 10 to 80 degrees two-theta:
- 34.6°, d 2.589, I 100, hkl 1 0 3
- 29.2°, d 3.059, I 25, hkl 1 0 0
- 51.8°, d 1.766, I 23, hkl 1 1 0
- 65.3°, d 1.429, I 18, hkl 1 1 6
- 63.8°, d 1.459, I 18, hkl 2 0 3
- 37.0°, d 2.429, I 16, hkl 0 0 6
- 47.8°, d 1.902, I 13, hkl 1 0 6
- 65.2°, d 1.431, I 12, hkl 1 0 9
- 12.1°, d 7.288, I 12, hkl 0 0 2
- 29.8°, d 2.994, I 10, hkl 1 0 1
- 31.7°, d 2.821, I 6, hkl 1 0 2
- 59.0°, d 1.565, I 6, hkl 1 0 8

Record 9
Diffraction record for Lu4SnC2Se. The X-ray diffraction stick pattern is theoretical, not measured: it uses a GGA-PBE-relaxed structure and a wavelength of 1.5418 Å.
Kinematic intensities with the Lorentz-polarization factor, no thermal factor.

Atomic structure:
a = 3.6044 Å, b = 3.6044 Å, c = 14.1584 Å
α = 90.00°, β = 90.00°, γ = 120.00°
Space group P-6m2 (No. 187)
Symmetry-distinct sites (fractional):
Lu 0.0000 0.0000 0.1389
Lu 0.6667 0.3333 0.3202
Sn 0.0000 0.0000 0.5000
C 0.3333 0.6667 0.2307
Se 0.6667 0.3333 0.0000

Largest 12 diffraction maxima, by intensity, 10 to 80 degrees two-theta:
- 34.4°, d 2.604, I 100, hkl 1 0 3
- 28.6°, d 3.121, I 28, hkl 1 0 0
- 50.7°, d 1.802, I 27, hkl 1 1 0
- 62.7°, d 1.482, I 18, hkl 2 0 3
- 65.1°, d 1.432, I 14, hkl 1 1 6
- 60.1°, d 1.540, I 12, hkl 1 0 8
- 38.1°, d 2.360, I 11, hkl 0 0 6
- 48.4°, d 1.882, I 10, hkl 1 0 6
- 31.3°, d 2.856, I 7, hkl 1 0 2
- 31.6°, d 2.832, I 7, hkl 0 0 5
- 60.9°, d 1.520, I 7, hkl 1 1 5
- 38.5°, d 2.341, I 7, hkl 1 0 4

Record 10
Diffraction record for TbLu3C2Se2. The X-ray diffraction stick pattern is theoretical, not measured: it uses a GGA-PBE-relaxed structure and a wavelength of 1.5418 Å.
Kinematic intensities with the Lorentz-polarization factor, no thermal factor.

Atomic structure:
a = 3.6953 Å, b = 3.6953 Å, c = 13.0368 Å
α = 90.00°, β = 90.00°, γ = 120.00°
Space group P3m1 (No. 156)
Symmetry-distinct sites (fractional):
Tb 0.0000 0.0000 0.0000
Lu 0.0000 0.0000 0.6957
Lu 0.6667 0.3333 0.2020
Lu 0.6667 0.3333 0.5006
C 0.3333 0.6667 0.1036
C 0.3333 0.6667 0.5974
Se 0.0000 0.0000 0.3508
Se 0.6667 0.3333 0.8437

Largest 12 diffraction maxima, by intensity, 10 to 80 degrees two-theta:
- 34.8°, d 2.577, I 100, hkl 0 1 3
- 27.9°, d 3.200, I 29, hkl 1 0 0
- 49.3°, d 1.848, I 28, hkl 1 1 0
- 61.8°, d 1.502, I 19, hkl 2 0 3
- 57.3°, d 1.609, I 15, hkl 0 1 7
- 66.4°, d 1.408, I 15, hkl 1 1 6
- 28.7°, d 3.108, I 14, hkl 0 1 1
- 41.6°, d 2.173, I 10, hkl 0 0 6
- 50.8°, d 1.798, I 10, hkl 1 0 6
- 27.4°, d 3.259, I 8, hkl 0 0 4
- 39.5°, d 2.283, I 7, hkl 1 0 4
- 71.5°, d 1.320, I 6, hkl 1 0 9

Record 11
Diffraction record for Lu3SiC2. The X-ray diffraction stick pattern is theoretical, not measured: it uses a GGA-PBE-relaxed structure and a wavelength of 1.5418 Å.
Kinematic intensities with the Lorentz-polarization factor, no thermal factor.

Atomic structure:
a = 3.4549 Å, b = 3.4549 Å, c = 20.4072 Å
α = 90.00°, β = 90.00°, γ = 120.00°
Space group P6_3/mmc (No. 194)
Symmetry-distinct sites (fractional):
Lu 0.0000 0.0000 0.0000
Lu 0.3333 0.6667 0.1361
Si 0.0000 0.0000 0.2500
C 0.3333 0.6667 0.5735

Largest 12 diffraction maxima, by intensity, 10 to 80 degrees two-theta:
- 34.8°, d 2.581, I 100, hkl 1 0 4
- 30.2°, d 2.960, I 50, hkl 1 0 1
- 37.3°, d 2.413, I 49, hkl 1 0 5
- 53.0°, d 1.727, I 35, hkl 1 1 0
- 65.2°, d 1.430, I 27, hkl 1 1 8
- 35.2°, d 2.551, I 27, hkl 0 0 8
- 31.2°, d 2.871, I 25, hkl 1 0 2
- 50.5°, d 1.807, I 24, hkl 1 0 9
- 32.7°, d 2.739, I 18, hkl 1 0 3
- 26.2°, d 3.401, I 17, hkl 0 0 6
- 62.8°, d 1.479, I 16, hkl 1 0 12
- 65.0°, d 1.436, I 16, hkl 2 0 4

Record 12
Diffraction record for Lu4SiC3. The X-ray diffraction stick pattern is theoretical, not measured: it uses a GGA-PBE-relaxed structure and a wavelength of 1.5418 Å.
Kinematic intensities with the Lorentz-polarization factor, no thermal factor.

Atomic structure:
a = 3.4655 Å, b = 3.4655 Å, c = 26.0262 Å
α = 90.00°, β = 90.00°, γ = 120.00°
Space group P6_3/mmc (No. 194)
Symmetry-distinct sites (fractional):
Lu 0.0000 0.0000 0.1607
Lu 0.3333 0.6667 0.0558
Si 0.3333 0.6667 0.2500
C 0.0000 0.0000 0.0000
C 0.3333 0.6667 0.6129

Largest 12 diffraction maxima, by intensity, 10 to 80 degrees two-theta:
- 36.4°, d 2.468, I 100, hkl 1 0 6
- 34.5°, d 2.601, I 93, hkl 0 0 10
- 30.6°, d 2.924, I 51, hkl 1 0 2
- 52.8°, d 1.733, I 47, hkl 1 1 0
- 64.6°, d 1.442, I 43, hkl 1 1 10
- 32.9°, d 2.725, I 36, hkl 1 0 4
- 31.5°, d 2.836, I 34, hkl 1 0 3
- 52.0°, d 1.758, I 28, hkl 1 0 12
- 27.4°, d 3.253, I 20, hkl 0 0 8
- 65.2°, d 1.430, I 19, hkl 1 0 16
- 65.9°, d 1.418, I 18, hkl 2 0 6
- 13.6°, d 6.507, I 16, hkl 0 0 4

Record 13
Diffraction record for Lu4TlSiC2. The X-ray diffraction stick pattern is theoretical, not measured: it uses a GGA-PBE-relaxed structure and a wavelength of 1.5418 Å.
Kinematic intensities with the Lorentz-polarization factor, no thermal factor.

Atomic structure:
a = 3.5076 Å, b = 3.5076 Å, c = 15.1580 Å
α = 90.00°, β = 90.00°, γ = 120.00°
Space group P-6m2 (No. 187)
Symmetry-distinct sites (fractional):
Lu 0.0000 0.0000 0.1479
Lu 0.6667 0.3333 0.3203
Tl 0.0000 0.0000 0.5000
Si 0.6667 0.3333 0.0000
C 0.3333 0.6667 0.2370

Largest 12 diffraction maxima, by intensity, 10 to 80 degrees two-theta:
- 34.4°, d 2.603, I 100, hkl 1 0 3
- 29.4°, d 3.036, I 36, hkl 1 0 0
- 52.2°, d 1.754, I 23, hkl 1 1 0
- 64.0°, d 1.455, I 17, hkl 2 0 3
- 64.7°, d 1.441, I 17, hkl 1 1 6
- 35.5°, d 2.526, I 16, hkl 0 0 6
- 31.7°, d 2.820, I 13, hkl 1 0 2
- 46.8°, d 1.942, I 13, hkl 1 0 6
- 57.3°, d 1.608, I 12, hkl 1 0 8
- 61.0°, d 1.518, I 11, hkl 2 0 0
- 63.1°, d 1.473, I 10, hkl 1 0 9
- 42.1°, d 2.146, I 6, hkl 1 0 5